[1]
Diffraction record for Ta4Cd3W2N3. The XRD peak list is theoretical, not measured: it uses a crystal structure in OQMD, relaxed with PBE and Cu Kα (λ = 1.5418 Å).
Kinematic intensities with the Lorentz-polarization factor, no thermal factor.

Cell and atoms:
```
data_Ta4Cd3W2N3
_symmetry_space_group_name_H-M 'C 1 2/c 1'
_symmetry_Int_Tables_number 15
_cell_length_a 8.935
_cell_length_b 5.148
_cell_length_c 15.576
_cell_angle_alpha 90.00
_cell_angle_beta 101.06
_cell_angle_gamma 90.00
loop_
_symmetry_equiv_pos_as_xyz
'x,y,z'
'-x,-y,-z'
'-x,y,-z+1/2'
'x,-y,z+1/2'
'x+1/2,y+1/2,z'
'-x+1/2,-y+1/2,-z'
'-x+1/2,y+1/2,-z+1/2'
'x+1/2,-y+1/2,z+1/2'
loop_
_atom_site_label
_atom_site_type_symbol
_atom_site_fract_x
_atom_site_fract_y
_atom_site_fract_z
Ta1 Ta 0.113 0.084 0.088
Ta2 Ta 0.221 0.084 0.412
Cd1 Cd 0.000 0.085 0.750
Cd2 Cd 0.164 0.424 0.250
W1 W 0.053 0.416 0.911
N1 N 0.083 0.250 0.500
N2 N 0.250 0.250 0.000
```

Principal peaks in the range 10° ≤ 2θ ≤ 80°, most intense first:
- hkl 3 1 2, 39.2 deg, d = 2.299 Å, I = 100
- hkl 0 0 6, 35.2 deg, d = 2.547 Å, I = 30
- hkl 0 2 0, 34.8 deg, d = 2.577 Å, I = 21
- hkl 3 1 -10, 65.9 deg, d = 1.418 Å, I = 20
- hkl 0 2 6, 50.4 deg, d = 1.812 Å, I = 17
- hkl 3 3 5, 73.8 deg, d = 1.284 Å, I = 13
- hkl 3 3 -1, 62.5 deg, d = 1.487 Å, I = 12
- hkl 6 2 1, 76.2 deg, d = 1.250 Å, I = 9
- hkl 6 0 -8, 73.7 deg, d = 1.286 Å, I = 7
- hkl 0 0 2, 11.6 deg, d = 7.643 Å, I = 6
- hkl 6 0 -2, 62.4 deg, d = 1.489 Å, I = 6
- hkl 0 4 3, 76.3 deg, d = 1.248 Å, I = 5

=====

[2]
Diffraction record for CdW4N3. The XRD peak list is theoretical, not measured: it uses a crystal structure in OQMD, relaxed with PBE and Cu Kα (λ = 1.5418 Å).
Kinematic intensities with the Lorentz-polarization factor, no thermal factor.

Cell and atoms:
```
data_CdW4N3
_symmetry_space_group_name_H-M 'P 63/m m c'
_symmetry_Int_Tables_number 194
_symmetry_space_group_name_Hall '-P 6c 2c'
_cell_length_a 2.8285
_cell_length_b 2.8285
_cell_length_c 27.8924
_cell_angle_alpha 90.00
_cell_angle_beta 90.00
_cell_angle_gamma 120.00
loop_
_atom_site_label
_atom_site_type_symbol
_atom_site_fract_x
_atom_site_fract_y
_atom_site_fract_z
Cd1 Cd 0.3333 0.6667 0.2500
W1 W 0.0000 0.0000 0.1599
W2 W 0.3333 0.6667 0.0538
N1 N 0.0000 0.0000 0.0000
N2 N 0.3333 0.6667 0.6088
```

Principal peaks in the range 10° ≤ 2θ ≤ 80°, most intense first:
- hkl 1 0 6, 41.7 deg, d = 2.167 Å, I = 100
- hkl 1 0 5, 40.2 deg, d = 2.243 Å, I = 74
- hkl 0 0 10, 32.1 deg, d = 2.789 Å, I = 69
- hkl 1 0 4, 39.0 deg, d = 2.311 Å, I = 43
- hkl 1 1 0, 66.1 deg, d = 1.414 Å, I = 38
- hkl 1 1 10, 75.3 deg, d = 1.261 Å, I = 37
- hkl 1 0 2, 37.3 deg, d = 2.413 Å, I = 27
- hkl 1 0 12, 54.4 deg, d = 1.686 Å, I = 27
- hkl 1 0 16, 65.7 deg, d = 1.420 Å, I = 25
- hkl 1 0 1, 36.8 deg, d = 2.440 Å, I = 19
- hkl 1 0 11, 51.9 deg, d = 1.762 Å, I = 17
- hkl 1 0 15, 62.7 deg, d = 1.481 Å, I = 17

=====

[3]
Diffraction record for Na16Cd13. The XRD peak list is theoretical, not measured: it uses a crystal structure in OQMD, relaxed with PBE and Cu Kα (λ = 1.5418 Å).
Kinematic intensities with the Lorentz-polarization factor, no thermal factor.

Cell and atoms:
```
data_Na16Cd13
_symmetry_space_group_name_H-M 'P -6 2 m'
_symmetry_Int_Tables_number 189
_symmetry_space_group_name_Hall 'P -6 -2'
_cell_length_a 9.1318
_cell_length_b 9.1318
_cell_length_c 11.1038
_cell_angle_alpha 90.00
_cell_angle_beta 90.00
_cell_angle_gamma 120.00
loop_
_atom_site_label
_atom_site_type_symbol
_atom_site_fract_x
_atom_site_fract_y
_atom_site_fract_z
Na1 Na 0.0000 0.2622 0.0000
Na2 Na 0.0000 0.6276 0.1675
Na3 Na 0.0000 0.7820 0.5000
Na4 Na 0.3333 0.6667 0.3351
Cd1 Cd 0.0000 0.0000 0.2123
Cd2 Cd 0.0000 0.3015 0.2750
Cd3 Cd 0.0000 0.4457 0.5000
Cd4 Cd 0.3333 0.6667 0.0000
```

Principal peaks in the range 10° ≤ 2θ ≤ 80°, most intense first:
- hkl 1 1 0, 19.5 deg, d = 4.556 Å, I = 100
- hkl 3 0 0, 34.0 deg, d = 2.635 Å, I = 96
- hkl 1 1 1, 21.0 deg, d = 4.223 Å, I = 40
- hkl 2 0 3, 33.2 deg, d = 2.702 Å, I = 38
- hkl 3 1 2, 44.4 deg, d = 2.040 Å, I = 29
- hkl 1 1 4, 37.9 deg, d = 2.372 Å, I = 24
- hkl 1 1 5, 45.4 deg, d = 1.997 Å, I = 23
- hkl 0 0 4, 32.2 deg, d = 2.776 Å, I = 22
- hkl 3 0 2, 37.8 deg, d = 2.381 Å, I = 21
- hkl 1 1 2, 25.3 deg, d = 3.527 Å, I = 19
- hkl 3 0 4, 47.6 deg, d = 1.912 Å, I = 16
- hkl 2 0 1, 23.9 deg, d = 3.725 Å, I = 14

=====

[4]
Diffraction record for Na8Cd3. The XRD peak list is theoretical, not measured: it uses a crystal structure in OQMD, relaxed with PBE and Cu Kα (λ = 1.5418 Å).
Kinematic intensities with the Lorentz-polarization factor, no thermal factor.

Cell and atoms:
```
data_Na8Cd3
_symmetry_space_group_name_H-M 'C 1 2/m 1'
_symmetry_Int_Tables_number 12
_cell_length_a 9.232
_cell_length_b 5.335
_cell_length_c 12.197
_cell_angle_alpha 90.00
_cell_angle_beta 104.45
_cell_angle_gamma 90.00
loop_
_symmetry_equiv_pos_as_xyz
'x,y,z'
'-x,-y,-z'
'-x,y,-z'
'x,-y,z'
'x+1/2,y+1/2,z'
'-x+1/2,-y+1/2,-z'
'-x+1/2,y+1/2,-z'
'x+1/2,-y+1/2,z'
loop_
_atom_site_label
_atom_site_type_symbol
_atom_site_fract_x
_atom_site_fract_y
_atom_site_fract_z
Na1 Na 0.090 0.000 0.271
Na2 Na 0.136 0.500 0.909
Na3 Na 0.180 0.000 0.540
Na4 Na 0.229 0.500 0.186
Cd1 Cd 0.000 0.000 0.000
Cd2 Cd 0.043 0.500 0.630
```

Principal peaks in the range 10° ≤ 2θ ≤ 80°, most intense first:
- hkl 0 2 0, 33.6 deg, d = 2.666 Å, I = 100
- hkl 2 0 3, 33.9 deg, d = 2.642 Å, I = 96
- hkl 2 0 0, 19.9 deg, d = 4.469 Å, I = 77
- hkl 1 1 1, 21.7 deg, d = 4.095 Å, I = 32
- hkl 2 2 3, 48.5 deg, d = 1.878 Å, I = 22
- hkl 5 1 2, 60.3 deg, d = 1.535 Å, I = 22
- hkl 3 1 2, 40.9 deg, d = 2.208 Å, I = 19
- hkl 1 1 4, 38.3 deg, d = 2.347 Å, I = 17
- hkl 6 0 -2, 60.1 deg, d = 1.539 Å, I = 17
- hkl 1 1 7, 60.9 deg, d = 1.521 Å, I = 15
- hkl 0 0 3, 22.6 deg, d = 3.937 Å, I = 15
- hkl 2 0 -3, 26.1 deg, d = 3.412 Å, I = 14

=====

[5]
Diffraction record for Na45Cd7. The XRD peak list is theoretical, not measured: it uses a crystal structure in OQMD, relaxed with PBE and Cu Kα (λ = 1.5418 Å).
Kinematic intensities with the Lorentz-polarization factor, no thermal factor.

Cell and atoms:
```
data_Na45Cd7
_symmetry_space_group_name_H-M 'C 1 2/m 1'
_symmetry_Int_Tables_number 12
_cell_length_a 25.797
_cell_length_b 9.450
_cell_length_c 13.598
_cell_angle_alpha 90.00
_cell_angle_beta 107.11
_cell_angle_gamma 90.00
loop_
_symmetry_equiv_pos_as_xyz
'x,y,z'
'-x,-y,-z'
'-x,y,-z'
'x,-y,z'
'x+1/2,y+1/2,z'
'-x+1/2,-y+1/2,-z'
'-x+1/2,y+1/2,-z'
'x+1/2,-y+1/2,z'
loop_
_atom_site_label
_atom_site_type_symbol
_atom_site_fract_x
_atom_site_fract_y
_atom_site_fract_z
Na1 Na 0.000 0.000 0.000
Na2 Na 0.017 0.000 0.262
Na3 Na 0.040 0.318 0.713
Na4 Na 0.044 0.308 0.125
Na5 Na 0.066 0.185 0.497
Na6 Na 0.084 0.500 0.944
Na7 Na 0.086 0.500 0.353
Na8 Na 0.118 0.000 0.740
Na9 Na 0.123 0.000 0.144
Na10 Na 0.129 0.500 0.619
Na11 Na 0.161 0.184 0.365
Na12 Na 0.182 0.317 0.861
Na13 Na 0.187 0.316 0.134
Na14 Na 0.207 0.192 0.638
Na15 Na 0.208 0.000 0.990
Na16 Na 0.222 0.500 0.492
Cd1 Cd 0.000 0.500 0.500
Cd2 Cd 0.088 0.162 0.929
Cd3 Cd 0.245 0.000 0.257
```

Principal peaks in the range 10° ≤ 2θ ≤ 80°, most intense first:
- hkl 1 1 -1, 11.5 deg, d = 7.686 Å, I = 100
- hkl 4 0 4, 34.8 deg, d = 2.581 Å, I = 85
- hkl 2 0 2, 17.2 deg, d = 5.161 Å, I = 68
- hkl 5 1 3, 32.7 deg, d = 2.737 Å, I = 60
- hkl 3 3 -3, 35.0 deg, d = 2.562 Å, I = 53
- hkl 5 3 -1, 33.4 deg, d = 2.686 Å, I = 43
- hkl 8 0 -4, 33.7 deg, d = 2.659 Å, I = 38
- hkl 4 0 -1, 14.0 deg, d = 6.338 Å, I = 37
- hkl 2 0 -5, 33.1 deg, d = 2.708 Å, I = 35
- hkl 1 3 2, 32.2 deg, d = 2.776 Å, I = 30
- hkl 10 0 -2, 34.9 deg, d = 2.568 Å, I = 30
- hkl 4 0 -2, 16.7 deg, d = 5.322 Å, I = 24

=====

[6]
Diffraction record for Na2NbCdSe4. The XRD peak list is theoretical, not measured: it uses a crystal structure in OQMD, relaxed with PBE and Cu Kα (λ = 1.5418 Å).
Kinematic intensities with the Lorentz-polarization factor, no thermal factor.

Cell and atoms:
```
data_Na2NbCdSe4
_symmetry_space_group_name_H-M 'C 1 2 1'
_symmetry_Int_Tables_number 5
_cell_length_a 9.624
_cell_length_b 10.395
_cell_length_c 6.805
_cell_angle_alpha 90.00
_cell_angle_beta 134.97
_cell_angle_gamma 90.00
loop_
_symmetry_equiv_pos_as_xyz
'x,y,z'
'-x,y,-z'
'x+1/2,y+1/2,z'
'-x+1/2,y+1/2,-z'
loop_
_atom_site_label
_atom_site_type_symbol
_atom_site_fract_x
_atom_site_fract_y
_atom_site_fract_z
Na1 Na 0.000 0.000 0.000
Na2 Na 0.000 0.249 0.500
Nb1 Nb 0.000 0.500 0.000
Cd1 Cd 0.000 0.750 0.500
Se1 Se 0.208 0.621 0.977
Se2 Se 0.231 0.378 0.440
```

Principal peaks in the range 10° ≤ 2θ ≤ 80°, most intense first:
- hkl 0 2 1, 25.2 deg, d = 3.532 Å, I = 100
- hkl 1 1 -1, 15.6 deg, d = 5.695 Å, I = 47
- hkl 2 4 -2, 43.8 deg, d = 2.065 Å, I = 42
- hkl 4 2 -3, 45.6 deg, d = 1.989 Å, I = 33
- hkl 0 0 2, 37.4 deg, d = 2.407 Å, I = 30
- hkl 2 6 -1, 56.4 deg, d = 1.630 Å, I = 16
- hkl 2 6 -3, 69.7 deg, d = 1.350 Å, I = 13
- hkl 2 4 -4, 71.9 deg, d = 1.313 Å, I = 13
- hkl 3 3 -2, 39.4 deg, d = 2.287 Å, I = 12
- hkl 1 1 -3, 49.0 deg, d = 1.858 Å, I = 11
- hkl 3 1 -1, 30.6 deg, d = 2.921 Å, I = 10
- hkl 0 2 3, 60.4 deg, d = 1.533 Å, I = 9

=====

Please write out number 4 again, unchanged.
Diffraction record for Na8Cd3. The XRD peak list is theoretical, not measured: it uses a crystal structure in OQMD, relaxed with PBE and Cu Kα (λ = 1.5418 Å).
Kinematic intensities with the Lorentz-polarization factor, no thermal factor.

Cell and atoms:
```
data_Na8Cd3
_symmetry_space_group_name_H-M 'C 1 2/m 1'
_symmetry_Int_Tables_number 12
_cell_length_a 9.232
_cell_length_b 5.335
_cell_length_c 12.197
_cell_angle_alpha 90.00
_cell_angle_beta 104.45
_cell_angle_gamma 90.00
loop_
_symmetry_equiv_pos_as_xyz
'x,y,z'
'-x,-y,-z'
'-x,y,-z'
'x,-y,z'
'x+1/2,y+1/2,z'
'-x+1/2,-y+1/2,-z'
'-x+1/2,y+1/2,-z'
'x+1/2,-y+1/2,z'
loop_
_atom_site_label
_atom_site_type_symbol
_atom_site_fract_x
_atom_site_fract_y
_atom_site_fract_z
Na1 Na 0.090 0.000 0.271
Na2 Na 0.136 0.500 0.909
Na3 Na 0.180 0.000 0.540
Na4 Na 0.229 0.500 0.186
Cd1 Cd 0.000 0.000 0.000
Cd2 Cd 0.043 0.500 0.630
```

Principal peaks in the range 10° ≤ 2θ ≤ 80°, most intense first:
- hkl 0 2 0, 33.6 deg, d = 2.666 Å, I = 100
- hkl 2 0 3, 33.9 deg, d = 2.642 Å, I = 96
- hkl 2 0 0, 19.9 deg, d = 4.469 Å, I = 77
- hkl 1 1 1, 21.7 deg, d = 4.095 Å, I = 32
- hkl 2 2 3, 48.5 deg, d = 1.878 Å, I = 22
- hkl 5 1 2, 60.3 deg, d = 1.535 Å, I = 22
- hkl 3 1 2, 40.9 deg, d = 2.208 Å, I = 19
- hkl 1 1 4, 38.3 deg, d = 2.347 Å, I = 17
- hkl 6 0 -2, 60.1 deg, d = 1.539 Å, I = 17
- hkl 1 1 7, 60.9 deg, d = 1.521 Å, I = 15
- hkl 0 0 3, 22.6 deg, d = 3.937 Å, I = 15
- hkl 2 0 -3, 26.1 deg, d = 3.412 Å, I = 14

=====

- Which formula does entry 5 have?
  Na45Cd7